Calculated X-ray diffraction stick pattern of UHg3 for Cu Kα, from a structure optimized by DFT (GGA-PBE).
Neutral-atom scattering factors, no anomalous dispersion.

Largest 6 diffraction maxima, by angle, 10 to 90 degrees two-theta:
h k l	2θ/deg	intensity
0 4 0	32.10	50
1 0 1	33.43	24
0 2 2	34.40	65
1 2 1	37.22	100
1 6 1	60.63	25
1 4 3	65.90	26

Structural model:
```
data_UHg3
_chemical_formula_sum 'U2 Hg6'
_space_group_name_H-M_alt 'I m m 2'
_space_group_IT_number 44
_cell_length_a 3.009
_cell_length_b 11.152
_cell_length_c 5.899
_cell_angle_alpha 90.00
_cell_angle_beta 90.00
_cell_angle_gamma 90.00
loop_
_space_group_symop_operation_xyz
'x,y,z'
'-x,-y,z'
'-x,y,z'
'x,-y,z'
'x+1/2,y+1/2,z+1/2'
'-x+1/2,-y+1/2,z+1/2'
'-x+1/2,y+1/2,z+1/2'
'x+1/2,-y+1/2,z+1/2'
loop_
_atom_site_label
_atom_site_type_symbol
_atom_site_fract_x
_atom_site_fract_y
_atom_site_fract_z
_atom_site_occupancy
U1 U 0.000 0.000 0.000 1
Hg1 Hg 0.000 0.254 0.673 1
Hg2 Hg 0.000 0.500 0.002 1
```

***

Calculated X-ray diffraction stick pattern of BP3RhC for Cu Kα, from a structure optimized by DFT (GGA-PBE).
Neutral-atom scattering factors, no anomalous dispersion.

Largest 6 diffraction maxima, by angle, 10 to 90 degrees two-theta:
h k l	2θ/deg	intensity
0 0 1	16.53	100
0 1 0	18.49	36
0 1 -1	20.34	35
0 1 -2	32.41	52
1 1 -1	34.31	55
1 1 0	37.31	67

Structural model:
```
data_BP3RhC
_chemical_formula_sum 'B1 P3 Rh1 C1'
_space_group_name_H-M_alt 'P 1'
_space_group_IT_number 1
_cell_length_a 3.055
_cell_length_b 5.086
_cell_length_c 5.882
_cell_angle_alpha 108.66
_cell_angle_beta 104.95
_cell_angle_gamma 90.04
loop_
_space_group_symop_operation_xyz
'x,y,z'
loop_
_atom_site_label
_atom_site_type_symbol
_atom_site_fract_x
_atom_site_fract_y
_atom_site_fract_z
_atom_site_occupancy
B1 B 0.000 0.000 0.000 1
P1 P 0.378 0.293 0.754 1
P2 P 0.590 0.983 0.182 1
P3 P 0.729 0.753 0.455 1
Rh1 Rh 0.189 0.399 0.375 1
C1 C 0.872 0.054 0.742 1
```

***

Calculated X-ray diffraction stick pattern of Cs2SrPrI6 for Cu Kα, from a structure optimized by DFT (GGA-PBE).
Neutral-atom scattering factors, no anomalous dispersion.

Largest 6 diffraction maxima, by angle, 10 to 90 degrees two-theta:
h k l	2θ/deg	intensity
0 2 0	13.82	18
0 2 2	23.94	38
2 2 0	24.18	39
2 0 2	27.85	100
2 4 2	39.79	48
4 4 4	65.11	21

Structural model:
```
data_Cs2SrPrI6
_chemical_formula_sum 'Cs4 Sr2 Pr2 I12'
_space_group_name_H-M_alt 'P m m n'
_space_group_IT_number 59
_cell_length_a 8.994
_cell_length_b 12.817
_cell_length_c 9.128
_cell_angle_alpha 90.00
_cell_angle_beta 90.00
_cell_angle_gamma 90.00
loop_
_space_group_symop_operation_xyz
'x,y,z'
'-x,-y,-z'
'-x+1/2,-y+1/2,z'
'x+1/2,y+1/2,-z'
'x+1/2,-y,-z'
'-x+1/2,y,z'
'-x,y+1/2,-z'
'x,-y+1/2,z'
loop_
_atom_site_label
_atom_site_type_symbol
_atom_site_fract_x
_atom_site_fract_y
_atom_site_fract_z
_atom_site_occupancy
Cs1 Cs 0.250 0.019 0.228 1
Sr1 Sr 0.250 0.250 0.740 1
Pr1 Pr 0.250 0.750 0.758 1
I1 I 0.002 0.750 0.006 1
I2 I 0.004 0.250 0.483 1
I3 I 0.250 0.502 0.760 1
```

***

Calculated X-ray diffraction stick pattern of Rb2PtCl7 for Cu Kα, from a structure optimized by DFT (GGA-PBE).
Neutral-atom scattering factors, no anomalous dispersion.

Largest 6 diffraction maxima, by angle, 10 to 90 degrees two-theta:
h k l	2θ/deg	intensity
1 1 -1	13.14	100
1 1 1	15.64	74
0 2 1	20.89	54
2 2 0	23.57	74
2 0 2	24.91	50
1 3 0	29.65	51

Structural model:
```
data_Rb2PtCl7
_chemical_formula_sum 'Rb8 Pt4 Cl28'
_space_group_name_H-M_alt 'C 1 2/c 1'
_space_group_IT_number 15
_cell_length_a 13.601
_cell_length_b 9.295
_cell_length_c 11.076
_cell_angle_alpha 90.00
_cell_angle_beta 108.10
_cell_angle_gamma 90.00
loop_
_space_group_symop_operation_xyz
'x,y,z'
'-x,-y,-z'
'-x,y,-z+1/2'
'x,-y,z+1/2'
'x+1/2,y+1/2,z'
'-x+1/2,-y+1/2,-z'
'-x+1/2,y+1/2,-z+1/2'
'x+1/2,-y+1/2,z+1/2'
loop_
_atom_site_label
_atom_site_type_symbol
_atom_site_fract_x
_atom_site_fract_y
_atom_site_fract_z
_atom_site_occupancy
Rb1 Rb 0.188 0.010 0.067 1
Pt1 Pt 0.000 0.325 0.250 1
Cl1 Cl 0.000 0.081 0.250 1
Cl2 Cl 0.101 0.338 0.462 1
Cl3 Cl 0.103 0.220 0.792 1
Cl4 Cl 0.148 0.338 0.187 1
```

***

Calculated X-ray diffraction stick pattern of NaU2F11 for Cu Kα, from a structure optimized by DFT (GGA-PBE).
Neutral-atom scattering factors, no anomalous dispersion.

Largest 6 diffraction maxima, by angle, 10 to 90 degrees two-theta:
h k l	2θ/deg	intensity
0 0 2	15.99	92
0 2 0	17.29	29
1 2 1	21.61	75
2 1 1	23.47	100
0 2 2	23.63	35
3 3 2	43.88	33

Structural model:
```
data_NaU2F11
_chemical_formula_sum 'Na4 U8 F44'
_space_group_name_H-M_alt 'I b a m'
_space_group_IT_number 72
_space_group_name_Hall '-I 2 2c'
_cell_length_a 8.775
_cell_length_b 10.261
_cell_length_c 11.086
_cell_angle_alpha 90.00
_cell_angle_beta 90.00
_cell_angle_gamma 90.00
loop_
_atom_site_label
_atom_site_type_symbol
_atom_site_fract_x
_atom_site_fract_y
_atom_site_fract_z
_atom_site_occupancy
Na1 Na 0.000 0.000 0.250 1
U1 U 0.155 0.320 0.000 1
F1 F 0.000 0.500 0.000 1
F2 F 0.087 0.195 0.136 1
F3 F 0.141 0.288 0.500 1
F4 F 0.238 0.070 0.369 1
```

***

Calculated X-ray diffraction stick pattern of Ag3P5 for Cu Kα, from a structure optimized by DFT (GGA-PBE).
Neutral-atom scattering factors, no anomalous dispersion.

Largest 6 diffraction maxima, by angle, 10 to 90 degrees two-theta:
h k l	2θ/deg	intensity
0 0 2	24.71	30
0 4 0	24.84	30
2 0 -1	30.05	60
0 4 2	35.32	100
2 4 1	46.42	34
2 4 -3	47.64	32

Structural model:
```
data_Ag3P5
_chemical_formula_sum 'Ag12 P20'
_space_group_name_H-M_alt 'C 1 m 1'
_space_group_IT_number 8
_cell_length_a 5.952
_cell_length_b 14.337
_cell_length_c 7.704
_cell_angle_alpha 90.00
_cell_angle_beta 110.69
_cell_angle_gamma 90.00
loop_
_space_group_symop_operation_xyz
'x,y,z'
'x,-y,z'
'x+1/2,y+1/2,z'
'x+1/2,-y+1/2,z'
loop_
_atom_site_label
_atom_site_type_symbol
_atom_site_fract_x
_atom_site_fract_y
_atom_site_fract_z
_atom_site_occupancy
Ag1 Ag 0.000 0.000 0.000 1
Ag2 Ag 0.005 0.500 0.010 1
Ag3 Ag 0.011 0.254 0.000 1
Ag4 Ag 0.251 0.252 0.504 1
P1 P 0.073 0.125 0.252 1
P2 P 0.217 0.383 0.270 1
P3 P 0.251 0.000 0.507 1
P4 P 0.311 0.120 0.744 1
P5 P 0.375 0.500 0.502 1
P6 P 0.443 0.383 0.739 1
```

***

Calculated X-ray diffraction stick pattern of TiZnSbP3O12 for Cu Kα, from a structure optimized by DFT (GGA-PBE).
Neutral-atom scattering factors, no anomalous dispersion.

Largest 6 diffraction maxima, by angle, 10 to 90 degrees two-theta:
h k l	2θ/deg	intensity
1 1 0	19.94	100
1 1 3	24.05	63
1 1 6	33.64	87
3 0 0	34.90	59
2 2 6	49.25	42
1 4 6	61.78	36

Structural model:
```
data_TiZnSbP3O12
_chemical_formula_sum 'Ti6 Zn6 Sb6 P18 O72'
_space_group_name_H-M_alt 'R 3 c'
_space_group_IT_number 161
_space_group_name_Hall 'R 3 -2"c'
_cell_length_a 8.9064
_cell_length_b 8.9064
_cell_length_c 19.9485
_cell_angle_alpha 90.00
_cell_angle_beta 90.00
_cell_angle_gamma 120.00
loop_
_atom_site_label
_atom_site_type_symbol
_atom_site_fract_x
_atom_site_fract_y
_atom_site_fract_z
_atom_site_occupancy
Ti1 Ti 0.0000 0.0000 0.0000 1
Zn1 Zn 0.0000 0.0000 0.1552 1
Sb1 Sb 0.0000 0.0000 0.3140 1
P1 P 0.0183 0.3482 0.0660 1
O1 O 0.0012 0.1700 0.7355 1
O2 O 0.0038 0.1679 0.0774 1
O3 O 0.0849 0.4134 0.9963 1
O4 O 0.1467 0.4750 0.1213 1
```

***

Calculated X-ray diffraction stick pattern of MnCdPd5 for Cu Kα, from a structure optimized by DFT (GGA-PBE).
Neutral-atom scattering factors, no anomalous dispersion.

Largest 6 diffraction maxima, by angle, 10 to 90 degrees two-theta:
h k l	2θ/deg	intensity
1 1 0	19.67	33
0 2 2	39.41	100
2 2 0	39.96	96
2 0 2	46.07	63
2 4 2	67.39	39
4 2 2	81.50	34

Structural model:
```
data_MnCdPd5
_chemical_formula_sum 'Mn2 Cd2 Pd10'
_space_group_name_H-M_alt 'C m m m'
_space_group_IT_number 65
_space_group_name_Hall '-C 2 2'
_cell_length_a 5.517
_cell_length_b 7.841
_cell_length_c 5.629
_cell_angle_alpha 90.00
_cell_angle_beta 90.00
_cell_angle_gamma 90.00
loop_
_atom_site_label
_atom_site_type_symbol
_atom_site_fract_x
_atom_site_fract_y
_atom_site_fract_z
_atom_site_occupancy
Mn1 Mn 0.000 0.000 0.000 1
Cd1 Cd 0.000 0.500 0.500 1
Pd1 Pd 0.000 0.500 0.000 1
Pd2 Pd 0.250 0.250 0.248 1
```